For Ta2AlH4, a structure optimized by DFT (GGA-PBE) gives the computed powder diffractogram in this record (a wavelength of 1.5418 Å).
Intensities are scaled so that the largest is 100.

The 8 most intense peaks (2θ = 10–90°), in order of falling intensity:
| 2theta | I (rel.) |
| --- | --- |
| 19.1 | 100.0 |
| 38.7 | 83.5 |
| 34.1 | 72.7 |
| 40.0 | 34.1 |
| 71.8 | 28.2 |
| 53.5 | 20.9 |
| 42.3 | 20.9 |
| 69.2 | 18.3 |

```
Ta2AlH4
1.0
-3.188 3.188 3.404
3.188 -3.188 3.404
3.188 3.188 -3.404
Ta Al H
4 2 8
direct
0.000 0.000 0.000
0.000 0.000 0.500
0.000 0.500 0.000
0.500 0.000 0.500
0.375 0.625 0.750
0.625 0.375 0.250
0.158 0.718 0.440
0.222 0.282 0.940
0.282 0.222 0.440
0.282 0.842 0.060
0.718 0.158 0.940
0.718 0.778 0.560
0.778 0.718 0.060
0.842 0.282 0.560
```



For Pm6SmHo, a structure optimized by DFT (GGA-PBE) gives the computed powder diffractogram in this record (a wavelength of 1.5418 Å).
Intensities are scaled so that the largest is 100.

The 8 most intense peaks (2θ = 10–90°), in order of falling intensity:
| 2theta | I (rel.) |
| --- | --- |
| 30.2 | 100.0 |
| 35.0 | 50.7 |
| 59.8 | 43.2 |
| 50.3 | 36.2 |
| 81.8 | 17.7 |
| 84.4 | 16.5 |
| 62.7 | 12.4 |
| 73.8 | 5.8 |

```
Pm6SmHo
1.0
5.134 0.000 0.000
0.000 5.134 0.000
0.000 0.000 10.262
Pm Sm Ho
6 1 1
direct
0.000 0.000 0.000
0.000 0.000 0.500
0.000 0.500 0.249
0.000 0.500 0.751
0.500 0.000 0.249
0.500 0.000 0.751
0.500 0.500 0.500
0.500 0.500 0.000
```